1.
# Zr4Br4O
Simulated PXRD pattern, Cu Ka. Input: a structure optimized by DFT (GGA-PBE).
Neutral-atom scattering factors, no anomalous dispersion.

Principal peaks in the range 10° ≤ 2θ ≤ 90°, in order of falling intensity:
two_theta	I_rel
32.06	100
41.03	46
50.53	29
69.13	19
17.19	15
61.11	15
29.12	13
83.18	13

Structure:
a b c (Å): 20.735 20.735 20.735
angles (deg): 9.99 9.99 9.99
Positions (direct):
Zr 0.000 0.000 0.000
Zr 0.205 0.205 0.205
Zr 0.499 0.499 0.499
Zr 0.704 0.704 0.704
Br 0.303 0.303 0.303
Br 0.401 0.401 0.401
Br 0.800 0.800 0.800
Br 0.903 0.903 0.903
O 0.171 0.171 0.171


2.
# SmGa2Ni3
Simulated PXRD pattern, Cu Ka. Input: a structure optimized by DFT (GGA-PBE).
Neutral-atom scattering factors, no anomalous dispersion.

Principal peaks in the range 10° ≤ 2θ ≤ 90°, in order of falling intensity:
two_theta	I_rel
37.97	100
31.90	71
41.59	67
40.75	56
44.02	52
35.10	40
61.53	33
46.58	31

Structure:
a b c (Å): 8.857 8.857 4.114
angles (deg): 90.00 90.00 120.00
Positions (direct):
Sm 0.000 0.000 0.000
Sm 0.333 0.667 0.500
Sm 0.667 0.333 0.500
Ga 0.000 0.475 0.000
Ga 0.000 0.727 0.500
Ga 0.273 0.273 0.500
Ga 0.475 0.000 0.000
Ga 0.525 0.525 0.000
Ga 0.727 0.000 0.500
Ni 0.000 0.289 0.500
Ni 0.171 0.796 0.000
Ni 0.204 0.375 0.000
Ni 0.289 0.000 0.500
Ni 0.375 0.204 0.000
Ni 0.625 0.829 0.000
Ni 0.711 0.711 0.500
Ni 0.796 0.171 0.000
Ni 0.829 0.625 0.000


3.
# TbNdSm14
Simulated PXRD pattern, Cu Ka. Input: a structure optimized by DFT (GGA-PBE).
Neutral-atom scattering factors, no anomalous dispersion.

Principal peaks in the range 10° ≤ 2θ ≤ 90°, in order of falling intensity:
two_theta	I_rel
32.22	100
29.32	43
30.47	34
59.77	30
50.09	26
36.60	24
55.27	22
60.82	16

Structure:
a b c (Å): 11.733 7.284 7.284
angles (deg): 60.01 90.00 90.00
Positions (direct):
Tb 0.000 0.000 0.000
Nd 0.000 0.500 0.500
Sm 0.000 0.501 0.999
Sm 0.000 0.999 0.501
Sm 0.249 0.167 0.167
Sm 0.250 0.166 0.667
Sm 0.250 0.667 0.166
Sm 0.251 0.667 0.667
Sm 0.500 0.333 0.834
Sm 0.500 0.334 0.334
Sm 0.500 0.834 0.333
Sm 0.500 0.834 0.834
Sm 0.749 0.667 0.667
Sm 0.750 0.166 0.667
Sm 0.750 0.667 0.166
Sm 0.751 0.167 0.167


4.
# Zr4Mo3
Simulated PXRD pattern, Cu Ka. Input: a structure optimized by DFT (GGA-PBE).
Neutral-atom scattering factors, no anomalous dispersion.

Principal peaks in the range 10° ≤ 2θ ≤ 90°, in order of falling intensity:
two_theta	I_rel
36.99	100
38.69	48
68.91	31
55.86	16
65.53	14
78.77	8
50.68	8
82.97	5

Structure:
a b c (Å): 3.292 3.292 25.215
angles (deg): 90.00 90.00 90.00
Positions (direct):
Zr 0.000 0.000 0.065
Zr 0.000 0.000 0.350
Zr 0.000 0.000 0.650
Zr 0.000 0.000 0.935
Zr 0.500 0.500 0.150
Zr 0.500 0.500 0.435
Zr 0.500 0.500 0.565
Zr 0.500 0.500 0.850
Mo 0.000 0.000 0.222
Mo 0.000 0.000 0.500
Mo 0.000 0.000 0.778
Mo 0.500 0.500 0.000
Mo 0.500 0.500 0.278
Mo 0.500 0.500 0.722